1.
Structure and calculated powder XRD pattern of Er5Tc (the PBE geometry in Alexandria; copper Kα).

Top 8 peaks for 5° ≤ 2θ ≤ 70°, in order of falling intensity:
2θ (°)	I_rel
34.89	100
33.29	97
32.71	57
31.80	36
62.42	32
32.58	25
61.90	24
50.14	23

Atomic structure:
Cell: 12.069 3.542 8.282 Å, 90.00 111.63 90.00°
Space group C2/m (No. 12)
Symmetry-distinct sites (fractional):
Er: 0.000 0.000 0.000
Er: 0.133 0.500 0.367
Er: 0.161 0.500 0.782
Tc: 0.000 0.000 0.500

2.
Structure and calculated powder XRD pattern of HoGa2SiNi2 (the PBE geometry in Alexandria; copper Kα).

Top 8 peaks for 5° ≤ 2θ ≤ 70°, in order of falling intensity:
2θ (°)	I_rel
33.86	100
39.19	97
42.20	76
58.95	58
29.50	40
26.47	34
61.21	25
59.33	12

Atomic structure:
Cell: 4.283 4.283 5.449 Å, 90.00 90.00 90.00°
Space group P4/mmm (No. 123)
Symmetry-distinct sites (fractional):
Ho: 0.000 0.000 0.000
Ga: 0.500 0.500 0.235
Si: 0.000 0.000 0.500
Ni: 0.000 0.500 0.500

3.
Structure and calculated powder XRD pattern of KGdCO3F2 (the PBE geometry in Alexandria; copper Kα).

Top 8 peaks for 5° ≤ 2θ ≤ 70°, in order of falling intensity:
2θ (°)	I_rel
16.07	100
26.51	99
17.59	76
29.44	69
27.07	61
28.94	54
34.05	49
45.60	37

Atomic structure:
Cell: 7.060 11.334 22.067 Å, 90.00 90.00 90.00°
Space group Fddd (No. 70, origin choice 2)
Symmetry-distinct sites (fractional):
K: 0.125 0.125 0.043
Gd: 0.125 0.307 0.625
C: 0.125 0.125 0.503
O: 0.035 0.373 0.724
O: 0.125 0.125 0.562
F: 0.061 0.021 0.891

4.
Structure and calculated powder XRD pattern of La2Pm5 (the PBE geometry in Alexandria; copper Kα).

Top 8 peaks for 5° ≤ 2θ ≤ 70°, in order of falling intensity:
2θ (°)	I_rel
30.79	100
30.35	78
54.47	30
43.77	29
54.75	20
63.53	15
33.34	14
64.13	12

Atomic structure:
Cell: 5.8083 5.8083 25.4357 Å, 90.00 90.00 120.00°
Space group R-3m (No. 166, hexagonal axes)
Symmetry-distinct sites (fractional):
La: 0.0000 0.0000 0.1351
Pm: 0.0000 0.0000 0.0000
Pm: 0.0000 0.0000 0.2724
Pm: 0.0000 0.0000 0.4129

5.
Structure and calculated powder XRD pattern of Ca7Cd2Rh (the PBE geometry in Alexandria; copper Kα).

Top 8 peaks for 5° ≤ 2θ ≤ 70°, in order of falling intensity:
2θ (°)	I_rel
29.61	100
20.71	81
36.29	72
21.84	48
35.84	38
30.93	36
20.93	35
36.98	35

Atomic structure:
Cell: 17.396 8.573 10.651 Å, 90.00 127.14 90.00°
Space group C2/c (No. 15)
Symmetry-distinct sites (fractional):
Ca: 0.000 0.106 0.250
Ca: 0.084 0.340 0.572
Ca: 0.131 0.253 0.966
Ca: 0.191 0.387 0.357
Cd: 0.184 0.000 0.265
Rh: 0.000 0.485 0.250

6.
Structure and calculated powder XRD pattern of Sr4PdBr6 (the PBE geometry in Alexandria; copper Kα).

Top 8 peaks for 5° ≤ 2θ ≤ 70°, in order of falling intensity:
2θ (°)	I_rel
34.44	100
20.96	70
34.81	60
28.61	45
30.88	28
62.17	26
41.32	25
40.98	24

Atomic structure:
Cell: 10.310 10.310 7.444 Å, 90.00 90.00 90.00°
Space group P4_2/nmc (No. 137, origin choice 2)
Symmetry-distinct sites (fractional):
Sr: 0.005 0.250 0.059
Pd: 0.250 0.750 0.750
Br: 0.037 0.537 0.250
Br: 0.250 0.250 0.318

7.
Structure and calculated powder XRD pattern of Ce6PuGe (the PBE geometry in Alexandria; copper Kα).

Top 8 peaks for 5° ≤ 2θ ≤ 70°, in order of falling intensity:
2θ (°)	I_rel
36.74	100
25.69	82
15.02	61
33.07	58
38.22	43
30.25	41
14.82	39
18.47	38

Atomic structure:
Cell: 8.650 8.516 6.325 Å, 90.00 109.09 90.00°
Space group C2/m (No. 12)
Symmetry-distinct sites (fractional):
Ce: 0.080 0.201 0.292
Ce: 0.223 0.500 0.026
Pu: 0.000 0.000 0.000
Ge: 0.000 0.500 0.500

8.
Structure and calculated powder XRD pattern of Ti2CoS6 (the PBE geometry in Alexandria; copper Kα).

Top 8 peaks for 5° ≤ 2θ ≤ 70°, in order of falling intensity:
2θ (°)	I_rel
22.36	100
44.57	75
34.39	61
55.80	43
45.63	32
30.37	23
35.70	22
53.03	15

Atomic structure:
Cell: 5.623 5.623 10.362 Å, 90.00 90.00 90.00°
Space group P4_2/mnm (No. 136)
Symmetry-distinct sites (fractional):
Ti: 0.000 0.000 0.159
Co: 0.000 0.000 0.500
S: 0.190 0.190 0.337
S: 0.212 0.212 0.000

What did the sixth record say?
Structure and calculated powder XRD pattern of Sr4PdBr6 (the PBE geometry in Alexandria; copper Kα).

Top 8 peaks for 5° ≤ 2θ ≤ 70°, in order of falling intensity:
2θ (°)	I_rel
34.44	100
20.96	70
34.81	60
28.61	45
30.88	28
62.17	26
41.32	25
40.98	24

Atomic structure:
Cell: 10.310 10.310 7.444 Å, 90.00 90.00 90.00°
Space group P4_2/nmc (No. 137, origin choice 2)
Symmetry-distinct sites (fractional):
Sr: 0.005 0.250 0.059
Pd: 0.250 0.750 0.750
Br: 0.037 0.537 0.250
Br: 0.250 0.250 0.318

Question: What is the formula in the fourth record?
Answer: La2Pm5